No. 1
The following is a simulated X-ray powder pattern of Mg2PHO5. It was derived from a crystal structure in the Materials Project, relaxed with GGA-PBE, using Cu Kα.
Intensities are scaled so that the largest is 100.

Principal peaks in the range 2θ = 10–80°, by intensity:
2θ (°)	Rel. int.	h k l
36.57	100	4 -2 1
30.94	55	2 2 0
26.10	48	2 0 1
24.52	44	1 1 1
26.71	43	3 0 0
40.91	32	4 0 1
55.02	28	6 0 0
68.50	27	4 -2 3
37.69	24	4 -1 1
52.16	23	4 2 1

Structure:
a = 11.5623 Å, b = 11.5623 Å, c = 4.6662 Å
α = 90.00°, β = 90.00°, γ = 120.00°
Space group P31m (No. 157)
Asymmetric unit:
Mg1 0.1444 0.8224 0.0000 x6
Mg2 0.1457 0.6626 0.4640 x6
P1 0.0000 0.0000 0.6227 x1
P2 0.0000 0.3495 0.5262 x3
P3 0.3333 0.6667 0.9570 x2
H1 0.0000 0.1107 0.5081 x3
H2 0.0000 0.5362 0.9886 x3
O1 0.0000 0.0000 0.9543 x1
O2 0.0000 0.2698 0.7968 x3
O3 0.0000 0.4782 0.6251 x3
O4 0.0000 0.5999 0.1286 x3
O5 0.0000 0.7231 0.5955 x3
O6 0.0000 0.7971 0.3178 x3
O7 0.1283 0.3939 0.3486 x6
O8 0.2425 0.7200 0.8476 x6
O9 0.3333 0.6667 0.2936 x2


No. 2
The following is a simulated X-ray powder pattern of MgP2H8O10. It was derived from a crystal structure in the Materials Project, relaxed with GGA-PBE, using Cu Kα.
Intensities are scaled so that the largest is 100.

Principal peaks in the range 2θ = 10–80°, by intensity:
2θ (°)	Rel. int.	h k l
27.88	100	1 2 -2
26.04	89	0 1 2
19.71	81	1 0 0
26.65	64	1 2 0
21.62	48	1 1 0
38.12	40	0 4 1
29.51	37	0 3 1
17.77	28	0 2 0
34.54	23	2 1 -2
18.74	23	1 1 -1

Structure:
a = 5.396 Å, b = 9.982 Å, c = 8.728 Å
α = 90.00°, β = 123.40°, γ = 90.00°
Space group P2_1/c (No. 14)
Asymmetric unit:
Mg1 0.000 0.000 0.000 x2
P1 0.102 0.216 0.336 x4
H1 0.106 0.716 0.011 x4
H2 0.417 0.080 0.837 x4
H3 0.423 0.543 0.232 x4
H4 0.457 0.114 0.593 x4
O1 0.002 0.671 0.357 x4
O2 0.126 0.661 0.116 x4
O3 0.135 0.132 0.866 x4
O4 0.409 0.144 0.470 x4
O5 0.461 0.539 0.705 x4


No. 3
The following is a simulated X-ray powder pattern of Mg2PHO5. It was derived from a crystal structure in the Materials Project, relaxed with GGA-PBE, using Cu Kα.
Intensities are scaled so that the largest is 100.

Principal peaks in the range 2θ = 10–80°, by intensity:
2θ (°)	Rel. int.	h k l
26.16	100	1 0 2
33.07	61	1 2 1
24.41	58	2 0 1
38.09	57	2 2 1
18.61	35	0 1 1
28.79	30	0 2 0
28.39	28	2 1 1
64.54	24	5 2 1
59.64	22	0 4 0
57.92	22	3 2 3

Structure:
a = 8.362 Å, b = 6.202 Å, c = 7.459 Å
α = 90.00°, β = 90.00°, γ = 90.00°
Space group Pnma (No. 62)
Asymmetric unit:
Mg1 0.000 0.000 0.000 x4
Mg2 0.176 0.250 0.423 x4
P1 0.176 0.750 0.334 x4
H1 0.054 0.750 0.734 x4
O1 0.021 0.750 0.439 x4
O2 0.039 0.250 0.186 x4
O3 0.136 0.750 0.127 x4
O4 0.223 0.046 0.876 x8


No. 4
The following is a simulated X-ray powder pattern of MgP2H12O12. It was derived from a crystal structure in the Materials Project, relaxed with GGA-PBE, using Cu Kα.
Intensities are scaled so that the largest is 100.

Principal peaks in the range 2θ = 10–80°, by intensity:
2θ (°)	Rel. int.	h k l
11.79	100	0 1 0
23.29	81	2 1 1
32.41	60	-1 1 2
23.60	54	0 1 -2
19.75	53	1 -1 0
32.15	26	0 2 2
25.64	24	0 2 -1
28.37	22	2 2 1
29.82	22	2 2 0
28.90	22	1 0 3

Structure:
a = 7.820 Å, b = 7.849 Å, c = 9.310 Å
α = 84.95°, β = 67.12°, γ = 73.04°
Space group P-1 (No. 2)
Asymmetric unit:
Mg1 0.235 0.137 0.291 x2
P1 0.093 0.086 0.683 x2
P2 0.427 0.231 0.912 x2
H1 0.007 0.689 0.159 x2
H2 0.032 0.538 0.632 x2
H3 0.039 0.299 0.059 x2
H4 0.134 0.780 0.911 x2
H5 0.170 0.664 0.580 x2
H6 0.256 0.502 0.874 x2
H7 0.268 0.829 0.137 x2
H8 0.321 0.005 0.787 x2
H9 0.367 0.828 0.496 x2
H10 0.417 0.393 0.229 x2
H11 0.441 0.311 0.384 x2
H12 0.499 0.645 0.406 x2
O1 0.033 0.663 0.618 x2
O2 0.053 0.290 0.724 x2
O3 0.084 0.678 0.960 x2
O4 0.099 0.959 0.262 x2
O5 0.203 0.972 0.788 x2
O6 0.220 0.051 0.512 x2
O7 0.259 0.242 0.068 x2
O8 0.363 0.324 0.319 x2
O9 0.368 0.398 0.812 x2
O10 0.394 0.749 0.060 x2
O11 0.417 0.699 0.512 x2
O12 0.490 0.065 0.807 x2